# 1
Structure and theoretical X-ray powder pattern of La7SmMnFe7O24 (a GGA+U-relaxed structure; CuKα).
Intensities are scaled so that the largest is 100.

a b c (Å): 7.8887 7.8887 7.8887
angles (deg): 89.99 89.99 89.99
Sites, in units of the cell vectors:
1 La 0.0000 0.0000 0.0000
2 La 0.9998 0.9998 0.4988
3 La 0.9998 0.4988 0.9998
4 La 0.4984 0.4984 0.9992
5 La 0.4984 0.9992 0.4984
6 La 0.4988 0.9998 0.9998
7 La 0.9992 0.4984 0.4984
8 Sm 0.5005 0.5005 0.5005
9 Mn 0.2497 0.2497 0.2497
10 Fe 0.2497 0.2497 0.7482
11 Fe 0.2497 0.7482 0.2497
12 Fe 0.2495 0.7486 0.7486
13 Fe 0.7482 0.2497 0.2497
14 Fe 0.7486 0.2495 0.7486
15 Fe 0.7486 0.7486 0.2495
16 Fe 0.7487 0.7487 0.7487
17 O 0.2494 0.2494 0.9971
18 O 0.2494 0.9971 0.2494
19 O 0.2495 0.7489 0.9992
20 O 0.2495 0.9992 0.7489
21 O 0.2506 0.2506 0.5011
22 O 0.2511 0.4990 0.7472
23 O 0.2506 0.5011 0.2506
24 O 0.2511 0.7472 0.4990
25 O 0.4990 0.2511 0.7472
26 O 0.4990 0.7472 0.2511
27 O 0.4991 0.7466 0.7466
28 O 0.5011 0.2506 0.2506
29 O 0.7472 0.2511 0.4990
30 O 0.7472 0.4990 0.2511
31 O 0.7466 0.4991 0.7466
32 O 0.7466 0.7466 0.4991
33 O 0.7489 0.2495 0.9992
34 O 0.7489 0.7489 0.9991
35 O 0.7489 0.9992 0.2495
36 O 0.7489 0.9991 0.7489
37 O 0.9971 0.2494 0.2494
38 O 0.9992 0.2495 0.7489
39 O 0.9992 0.7489 0.2495
40 O 0.9991 0.7489 0.7489

Principal peaks in the range 2θ from 10° to 90°, by angle:
d [Å], Rel. int.
3.944, 14
2.789, 100
2.277, 19
1.972, 33
1.764, 7
1.610, 38
1.395, 19
1.247, 16
1.189, 6
1.139, 6

***

# 2
Structure and theoretical X-ray powder pattern of La7SmMn5Fe3O24 (a GGA+U-relaxed structure; CuKα).
Intensities are scaled so that the largest is 100.

a b c (Å): 7.8291 7.8291 7.8424
angles (deg): 90.02 90.02 90.01
Sites, in units of the cell vectors:
1 La 0.0000 0.0000 0.0000
2 La 0.0005 0.4971 0.9997
3 La 0.0006 0.0006 0.5090
4 La 0.0006 0.4973 0.5087
5 La 0.4971 0.0005 0.9997
6 La 0.4973 0.0006 0.5087
7 La 0.4977 0.4977 0.5084
8 Sm 0.4968 0.4968 0.9988
9 Mn 0.2492 0.2492 0.2537
10 Mn 0.2493 0.7484 0.2538
11 Mn 0.7484 0.2493 0.2538
12 Mn 0.7484 0.7484 0.2538
13 Mn 0.7484 0.7484 0.7547
14 Fe 0.2491 0.2491 0.7545
15 Fe 0.2491 0.7485 0.7545
16 Fe 0.7485 0.2491 0.7545
17 O 0.0039 0.2489 0.7540
18 O 0.2489 0.0039 0.7540
19 O 0.2491 0.2491 0.5036
20 O 0.2490 0.7487 0.4963
21 O 0.2490 0.9990 0.2540
22 O 0.2505 0.4987 0.2526
23 O 0.2506 0.2506 0.0046
24 O 0.2508 0.4937 0.7564
25 O 0.2506 0.7472 0.0120
26 O 0.4937 0.2508 0.7564
27 O 0.4987 0.2505 0.2526
28 O 0.4990 0.7473 0.2527
29 O 0.5063 0.7471 0.7560
30 O 0.7472 0.2506 0.0120
31 O 0.7473 0.4990 0.2527
32 O 0.7471 0.5063 0.7560
33 O 0.7473 0.7473 0.0027
34 O 0.7487 0.2490 0.4963
35 O 0.7486 0.7486 0.5057
36 O 0.7487 0.9912 0.7544
37 O 0.7486 0.9987 0.2540
38 O 0.9912 0.7487 0.7544
39 O 0.9990 0.2490 0.2540
40 O 0.9987 0.7486 0.2540

Principal peaks in the range 2θ from 10° to 90°, by angle:
d [Å], Rel. int.
3.917, 14
2.770, 100
2.261, 20
1.958, 33
1.752, 8
1.599, 38
1.385, 19
1.240, 5
1.238, 11
1.131, 6